Theoretical X-ray diffraction stick pattern
Compound: CsMg3Tl3
Radiation: copper Kα
Structure: a cell relaxed with PBE
Peak positions follow from Bragg's law for the DFT cell and can differ from measured ones.

Main lines, sorted by position (5° ≤ 2θ ≤ 70°):
index  2θ/deg  I (rel.)
2 0 0  21.7  35
2 1 0  24.3  100
2 1 1  26.6  85
3 2 0  39.6  29
3 2 1  41.2  53
4 2 1  51.0  28

Crystal structure
```
data_CsMg3Tl3
_cell_length_a 8.1998
_cell_length_b 8.1998
_cell_length_c 8.1998
_cell_angle_alpha 90.00
_cell_angle_beta 90.00
_cell_angle_gamma 90.00
_space_group_name_H-M_alt 'P m -3 n'
_space_group_IT_number 223
_space_group_name_Hall '-P 4n 2 3'
loop_
_atom_site_label
_atom_site_type_symbol
_atom_site_fract_x
_atom_site_fract_y
_atom_site_fract_z
_atom_site_occupancy
Cs1 Cs 0.0000 0.0000 0.0000 1
Mg1 Mg 0.0000 0.2500 0.5000 1
Tl1 Tl 0.0000 0.5000 0.2500 1
```